# 1
Calculated powder X-ray diffraction pattern
Compound: LaTb6Nd5
Radiation: Cu Kα (λ = 1.5418 Å)
Structure: a structure optimized by DFT (GGA-PBE)
Intensities are scaled so that the largest is 100.

Peak list (12 most intense, 2θ from 10° to 90°, in order of rising 2θ)
2θ = 30.2°, intensity 100
2θ = 34.9°, intensity 34
2θ = 35.2°, intensity 17
2θ = 50.1°, intensity 12
2θ = 50.4°, intensity 24
2θ = 59.6°, intensity 29
2θ = 60.1°, intensity 14
2θ = 62.7°, intensity 12
2θ = 81.6°, intensity 6
2θ = 82.0°, intensity 12
2θ = 84.1°, intensity 6
2θ = 84.9°, intensity 5

Structure:
a b c (Å): 9.5989 9.5989 9.5989
angles (deg): 148.87 115.85 73.02
Atoms (fractional coordinates):
La 0.0000 0.0000 0.0000
Tb 0.0838 0.8331 0.2507
Tb 0.2514 0.5000 0.7514
Tb 0.4176 0.1669 0.2507
Tb 0.5824 0.8331 0.7493
Tb 0.7486 0.5000 0.2486
Tb 0.9162 0.1669 0.7493
Nd 0.1674 0.6674 0.5000
Nd 0.3329 0.3329 0.0000
Nd 0.5000 0.0000 0.5000
Nd 0.6671 0.6671 0.0000
Nd 0.8326 0.3326 0.5000

# 2
Calculated powder X-ray diffraction pattern
Compound: CePr15Y4
Radiation: Cu Kα (λ = 1.5418 Å)
Structure: a structure optimized by DFT (GGA-PBE)
Intensities are scaled so that the largest is 100.

Peak list (12 most intense, 2θ from 10° to 90°, in order of rising 2θ)
2θ = 29.7°, intensity 100
2θ = 34.4°, intensity 34
2θ = 34.6°, intensity 17
2θ = 49.4°, intensity 12
2θ = 49.6°, intensity 24
2θ = 58.8°, intensity 29
2θ = 59.0°, intensity 14
2θ = 61.7°, intensity 12
2θ = 80.3°, intensity 6
2θ = 80.5°, intensity 12
2θ = 82.8°, intensity 5
2θ = 82.9°, intensity 5

Structure:
a b c (Å): 5.2134 5.2134 25.9461
angles (deg): 90.00 90.00 90.00
Atoms (fractional coordinates):
Ce 0.0000 0.0000 0.0000
Pr 0.0000 0.5000 0.0990
Pr 0.0000 0.5000 0.2998
Pr 0.0000 0.5000 0.5000
Pr 0.0000 0.5000 0.7002
Pr 0.0000 0.5000 0.9010
Pr 0.5000 0.0000 0.0990
Pr 0.5000 0.0000 0.2998
Pr 0.5000 0.0000 0.5000
Pr 0.5000 0.0000 0.7002
Pr 0.5000 0.0000 0.9010
Pr 0.5000 0.5000 0.0000
Pr 0.5000 0.5000 0.2011
Pr 0.5000 0.5000 0.4003
Pr 0.5000 0.5000 0.5997
Pr 0.5000 0.5000 0.7989
Y 0.0000 0.0000 0.2000
Y 0.0000 0.0000 0.3999
Y 0.0000 0.0000 0.6001
Y 0.0000 0.0000 0.8000

# 3
Calculated powder X-ray diffraction pattern
Compound: U2S3
Radiation: Cu Kα (λ = 1.5418 Å)
Structure: a structure optimized by DFT (GGA-PBE)
Intensities are scaled so that the largest is 100.

Peak list (12 most intense, 2θ from 10° to 90°, in order of rising 2θ)
2θ = 14.7°, intensity 35
2θ = 22.9°, intensity 42
2θ = 23.8°, intensity 100
2θ = 25.5°, intensity 53
2θ = 27.4°, intensity 63
2θ = 28.6°, intensity 48
2θ = 29.8°, intensity 74
2θ = 32.5°, intensity 44
2θ = 34.6°, intensity 49
2θ = 44.1°, intensity 40
2θ = 46.4°, intensity 32
2θ = 52.8°, intensity 30

Structure:
a b c (Å): 10.1243 3.9154 12.0517
angles (deg): 90.00 90.00 90.00
Atoms (fractional coordinates):
U 0.0079 0.2500 0.1498
U 0.1782 0.2500 0.5225
U 0.3218 0.7500 0.0225
U 0.4921 0.7500 0.6498
U 0.5079 0.2500 0.3502
U 0.6782 0.2500 0.9775
U 0.8218 0.7500 0.4775
U 0.9921 0.7500 0.8502
S 0.0330 0.7500 0.6219
S 0.1469 0.2500 0.9515
S 0.1764 0.7500 0.2063
S 0.3236 0.2500 0.7063
S 0.3531 0.7500 0.4515
S 0.4670 0.2500 0.1219
S 0.5330 0.7500 0.8781
S 0.6469 0.2500 0.5485
S 0.6764 0.7500 0.2937
S 0.8236 0.2500 0.7937
S 0.8531 0.7500 0.0485
S 0.9670 0.2500 0.3781

# 4
Calculated powder X-ray diffraction pattern
Compound: Ac2BeCu2O6
Radiation: Cu Kα (λ = 1.5418 Å)
Structure: a structure optimized by DFT (GGA-PBE)
Intensities are scaled so that the largest is 100.

Peak list (12 most intense, 2θ from 10° to 90°, in order of rising 2θ)
2θ = 17.6°, intensity 19
2θ = 21.5°, intensity 71
2θ = 29.8°, intensity 22
2θ = 31.4°, intensity 100
2θ = 34.8°, intensity 48
2θ = 36.2°, intensity 21
2θ = 38.4°, intensity 35
2θ = 47.6°, intensity 21
2θ = 48.3°, intensity 21
2θ = 55.8°, intensity 20
2θ = 58.1°, intensity 27
2θ = 64.5°, intensity 18

Structure:
a b c (Å): 6.0111 6.0111 6.0111
angles (deg): 56.64 56.64 56.64
Atoms (fractional coordinates):
Ac 0.2223 0.2223 0.2223
Ac 0.7777 0.7777 0.7777
Be 0.0000 0.0000 0.0000
Cu 0.4178 0.4178 0.4178
Cu 0.5822 0.5822 0.5822
O 0.2097 0.7721 0.7721
O 0.2279 0.2279 0.7903
O 0.2279 0.7903 0.2279
O 0.7721 0.2097 0.7721
O 0.7721 0.7721 0.2097
O 0.7903 0.2279 0.2279

# 5
Calculated powder X-ray diffraction pattern
Compound: InCuTe2
Radiation: Cu Kα (λ = 1.5418 Å)
Structure: a structure optimized by DFT (GGA-PBE)
Intensities are scaled so that the largest is 100.

Peak list (12 most intense, 2θ from 10° to 90°, in order of rising 2θ)
2θ = 24.5°, intensity 100
2θ = 32.6°, intensity 7
2θ = 40.5°, intensity 74
2θ = 47.8°, intensity 16
2θ = 47.9°, intensity 28
2θ = 58.7°, intensity 7
2θ = 64.4°, intensity 11
2θ = 64.6°, intensity 5
2θ = 73.5°, intensity 8
2θ = 73.7°, intensity 13
2θ = 79.1°, intensity 5
2θ = 87.5°, intensity 4

Structure:
a b c (Å): 6.2904 6.2904 12.6360
angles (deg): 90.00 90.00 90.00
Atoms (fractional coordinates):
In 0.0000 0.0000 0.0000
In 0.0000 0.5000 0.2500
In 0.5000 0.0000 0.7500
In 0.5000 0.5000 0.5000
Cu 0.0000 0.0000 0.5000
Cu 0.0000 0.5000 0.7500
Cu 0.5000 0.0000 0.2500
Cu 0.5000 0.5000 0.0000
Te 0.2148 0.2500 0.6250
Te 0.2500 0.7148 0.8750
Te 0.2500 0.7852 0.3750
Te 0.2852 0.2500 0.1250
Te 0.7148 0.7500 0.1250
Te 0.7500 0.2148 0.3750
Te 0.7500 0.2852 0.8750
Te 0.7852 0.7500 0.6250

# 6
Calculated powder X-ray diffraction pattern
Compound: PrMg4Sc3
Radiation: Cu Kα (λ = 1.5418 Å)
Structure: a structure optimized by DFT (GGA-PBE)
Intensities are scaled so that the largest is 100.

Peak list (12 most intense, 2θ from 10° to 90°, in order of rising 2θ)
2θ = 12.0°, intensity 15
2θ = 17.1°, intensity 18
2θ = 20.9°, intensity 22
2θ = 24.1°, intensity 14
2θ = 24.3°, intensity 27
2θ = 27.1°, intensity 15
2θ = 34.4°, intensity 100
2θ = 34.6°, intensity 50
2θ = 49.7°, intensity 17
2θ = 61.6°, intensity 17
2θ = 61.9°, intensity 34
2θ = 83.3°, intensity 14

Structure:
a b c (Å): 10.3749 7.3951 5.1863
angles (deg): 90.00 90.00 90.00
Atoms (fractional coordinates):
Pr 0.0000 0.0000 0.0000
Pr 0.5000 0.0000 0.0000
Mg 0.0000 0.2652 0.5000
Mg 0.0000 0.7348 0.5000
Mg 0.2500 0.2650 0.0053
Mg 0.2500 0.7350 0.0053
Mg 0.5000 0.2652 0.5000
Mg 0.5000 0.7348 0.5000
Mg 0.7500 0.2650 0.9947
Mg 0.7500 0.7350 0.9947
Sc 0.0000 0.5000 0.0000
Sc 0.2500 0.0000 0.5039
Sc 0.2500 0.5000 0.5047
Sc 0.5000 0.5000 0.0000
Sc 0.7500 0.0000 0.4961
Sc 0.7500 0.5000 0.4953